Theoretical X-ray powder pattern of K2WCl4O2 for λ = 1.5418 Å (Cu Kα), from the GGA+U geometry in Alexandria.

Largest 10 diffraction maxima, by intensity, 10° ≤ 2θ ≤ 90°:
- 15.53 deg, I = 100
- 25.37 deg, I = 60
- 15.62 deg, I = 32
- 36.87 deg, I = 31
- 30.22 deg, I = 28
- 17.53 deg, I = 24
- 29.46 deg, I = 24
- 30.38 deg, I = 22
- 18.19 deg, I = 19
- 41.11 deg, I = 14

Atomic structure:
a = 7.0202 Å, b = 7.0202 Å, c = 6.8617 Å
α = 119.12°, β = 119.12°, γ = 59.15°
Fractional positions:
K 0.2441 0.2441 0.2933
K 0.7559 0.7559 0.7067
W 0.5000 0.5000 0.0000
Cl 0.2027 0.6955 0.1879
Cl 0.3045 0.7973 0.8121
Cl 0.6955 0.2027 0.1879
Cl 0.7973 0.3045 0.8121
O 0.3285 0.3285 0.7430
O 0.6715 0.6715 0.2570